Record 1
This entry pairs a crystal structure of La4C2I5 with its theoretical powder diffraction line list. Radiation: Cu Ka. Structure: a PBE-relaxed structure.

Structure:
```
data_La4C2I5
_chemical_formula_sum 'La8 C4 I10'
_cell_length_a 20.5477
_cell_length_b 4.1607
_cell_length_c 9.0319
_cell_angle_alpha 90.00
_cell_angle_beta 103.76
_cell_angle_gamma 90.00
_space_group_name_H-M_alt 'C 1 2/m 1'
_space_group_IT_number 12
loop_
_space_group_symop_operation_xyz
'x,y,z'
'-x,-y,-z'
'-x,y,-z'
'x,-y,z'
'x+1/2,y+1/2,z'
'-x+1/2,-y+1/2,-z'
'-x+1/2,y+1/2,-z'
'x+1/2,-y+1/2,z'
loop_
_atom_site_label
_atom_site_type_symbol
_atom_site_fract_x
_atom_site_fract_y
_atom_site_fract_z
La1 La 0.0010 0.0000 0.1907
La2 La 0.1514 0.5000 0.0824
C1 C 0.0352 0.5000 0.0173
I1 I 0.0000 0.5000 0.5000
I2 I 0.1618 0.0000 0.3578
I3 I 0.1658 0.0000 0.8138
```

Most intense lines, 10 to 90 degrees two-theta, by angle:
- 26.01 deg, I 25
- 26.80 deg, I 66
- 28.44 deg, I 23
- 29.19 deg, I 100
- 31.57 deg, I 17
- 33.93 deg, I 17
- 39.78 deg, I 36
- 40.30 deg, I 39
- 43.50 deg, I 20
- 51.84 deg, I 21

***

Record 2
This entry pairs a crystal structure of La7C3I10 with its theoretical powder diffraction line list. Radiation: Cu Ka. Structure: a PBE-relaxed structure.

Structure:
```
data_La7C3I10
_chemical_formula_sum 'La14 C6 I20'
_cell_length_a 9.9016
_cell_length_b 11.9525
_cell_length_c 14.2215
_cell_angle_alpha 79.34
_cell_angle_beta 71.16
_cell_angle_gamma 65.90
_space_group_name_H-M_alt 'P -1'
_space_group_IT_number 2
loop_
_space_group_symop_operation_xyz
'x,y,z'
'-x,-y,-z'
loop_
_atom_site_label
_atom_site_type_symbol
_atom_site_fract_x
_atom_site_fract_y
_atom_site_fract_z
La1 La 0.0394 0.2941 0.3085
La2 La 0.1223 0.5710 0.3594
La3 La 0.2459 0.4513 0.0792
La4 La 0.3310 0.7417 0.1007
La5 La 0.3673 0.2236 0.4145
La6 La 0.4511 0.6151 0.8241
La7 La 0.4542 0.0794 0.1660
C1 C 0.2550 0.3868 0.2764
C2 C 0.3314 0.2736 0.2315
C3 C 0.4617 0.5564 0.0226
I1 I 0.0006 0.7190 0.1693
I2 I 0.0654 0.1560 0.5214
I3 I 0.1041 0.5786 0.8781
I4 I 0.1461 0.0245 0.2248
I5 I 0.2174 0.4531 0.5691
I6 I 0.2176 0.8919 0.9084
I7 I 0.3123 0.7472 0.6262
I8 I 0.3568 0.1962 0.9587
I9 I 0.4303 0.6306 0.3032
I10 I 0.4582 0.0652 0.6362
```

Most intense lines, 10 to 90 degrees two-theta, by angle:
- 27.20 deg, I 100
- 28.61 deg, I 76
- 28.99 deg, I 71
- 32.35 deg, I 19
- 39.50 deg, I 28
- 39.98 deg, I 27
- 40.17 deg, I 23
- 40.26 deg, I 29
- 40.36 deg, I 28
- 42.18 deg, I 23

***

Record 3
This entry pairs a crystal structure of LaCI with its theoretical powder diffraction line list. Radiation: Cu Ka. Structure: a PBE-relaxed structure.

Structure:
```
data_LaCI
_chemical_formula_sum 'La4 C4 I4'
_cell_length_a 7.6404
_cell_length_b 4.2028
_cell_length_c 10.8570
_cell_angle_alpha 90.00
_cell_angle_beta 93.58
_cell_angle_gamma 90.00
_space_group_name_H-M_alt 'C 1 2/m 1'
_space_group_IT_number 12
loop_
_space_group_symop_operation_xyz
'x,y,z'
'-x,-y,-z'
'-x,y,-z'
'x,-y,z'
'x+1/2,y+1/2,z'
'-x+1/2,-y+1/2,-z'
'-x+1/2,y+1/2,-z'
'x+1/2,-y+1/2,z'
loop_
_atom_site_label
_atom_site_type_symbol
_atom_site_fract_x
_atom_site_fract_y
_atom_site_fract_z
La1 La 0.1439 0.0000 0.1390
C1 C 0.0734 0.5000 0.9705
I1 I 0.1756 0.0000 0.6591
```

Most intense lines, 10 to 90 degrees two-theta, by angle:
- 24.18 deg, I 46
- 27.76 deg, I 62
- 28.91 deg, I 43
- 29.48 deg, I 24
- 29.75 deg, I 100
- 33.07 deg, I 23
- 40.76 deg, I 37
- 41.52 deg, I 38
- 43.04 deg, I 20
- 51.99 deg, I 21

***

Record 4
This entry pairs a crystal structure of La4CI6N with its theoretical powder diffraction line list. Radiation: Cu Ka. Structure: a PBE-relaxed structure.

Structure:
```
data_La4CI6N
_chemical_formula_sum 'La16 C4 I24 N4'
_cell_length_a 14.3239
_cell_length_b 14.3239
_cell_length_c 9.8109
_cell_angle_alpha 90.00
_cell_angle_beta 90.00
_cell_angle_gamma 90.00
_space_group_name_H-M_alt 'P 42/m n m'
_space_group_IT_number 136
_space_group_name_Hall '-P 4n 2n'
loop_
_atom_site_label
_atom_site_type_symbol
_atom_site_fract_x
_atom_site_fract_y
_atom_site_fract_z
La1 La 0.0886 0.0886 0.1949
La2 La 0.0901 0.9099 0.5000
La3 La 0.1523 0.8477 0.0000
C1 C 0.0351 0.9649 0.0000
I1 I 0.0503 0.7370 0.2496
I2 I 0.1729 0.1729 0.5000
I3 I 0.2195 0.2195 0.0000
N1 N 0.0000 0.0000 0.3496
```

Most intense lines, 10 to 90 degrees two-theta, by angle:
- 25.28 deg, I 65
- 25.64 deg, I 22
- 28.92 deg, I 100
- 29.33 deg, I 27
- 31.22 deg, I 18
- 33.17 deg, I 19
- 36.32 deg, I 18
- 36.63 deg, I 25
- 42.09 deg, I 17
- 42.59 deg, I 20

***

Record 5
This entry pairs a crystal structure of PbCI3N with its theoretical powder diffraction line list. Radiation: Cu Ka. Structure: a PBE-relaxed structure.

Structure:
```
data_PbCI3N
_chemical_formula_sum 'Pb1 C1 I3 N1'
_cell_length_a 6.3115
_cell_length_b 6.3115
_cell_length_c 6.2827
_cell_angle_alpha 90.00
_cell_angle_beta 90.00
_cell_angle_gamma 90.00
_space_group_name_H-M_alt 'P 4 m m'
_space_group_IT_number 99
loop_
_space_group_symop_operation_xyz
'x,y,z'
'-y,x,z'
'-x,-y,z'
'y,-x,z'
'-x,y,z'
'y,x,z'
'x,-y,z'
'-y,-x,z'
loop_
_atom_site_label
_atom_site_type_symbol
_atom_site_fract_x
_atom_site_fract_y
_atom_site_fract_z
Pb1 Pb 0.0000 0.0000 0.0000
C1 C 0.5000 0.5000 0.4077
I1 I 0.0000 0.0000 0.4947
I2 I 0.0000 0.5000 0.0080
N1 N 0.5000 0.5000 0.5952
```

Most intense lines, 10 to 90 degrees two-theta, by angle:
- 14.05 deg, I 100
- 24.47 deg, I 16
- 28.28 deg, I 53
- 28.41 deg, I 25
- 31.72 deg, I 40
- 31.82 deg, I 22
- 40.49 deg, I 58
- 43.05 deg, I 33
- 50.15 deg, I 20
- 66.25 deg, I 18

***

Record 6
This entry pairs a crystal structure of PbCI3N2 with its theoretical powder diffraction line list. Radiation: Cu Ka. Structure: a PBE-relaxed structure.

Structure:
```
data_PbCI3N2
_chemical_formula_sum 'Pb4 C4 I12 N8'
_cell_length_a 8.8796
_cell_length_b 16.1157
_cell_length_c 7.6324
_cell_angle_alpha 90.00
_cell_angle_beta 91.11
_cell_angle_gamma 90.00
_space_group_name_H-M_alt 'C 1 c 1'
_space_group_IT_number 9
loop_
_space_group_symop_operation_xyz
'x,y,z'
'x,-y,z+1/2'
'x+1/2,y+1/2,z'
'x+1/2,-y+1/2,z+1/2'
loop_
_atom_site_label
_atom_site_type_symbol
_atom_site_fract_x
_atom_site_fract_y
_atom_site_fract_z
Pb1 Pb 0.0000 0.9998 0.0000
C1 C 0.4630 0.1540 0.3490
I1 I 0.0024 0.1551 0.2527
I2 I 0.2431 0.0785 0.7551
I3 I 0.2638 0.4208 0.2462
N1 N 0.0313 0.4130 0.8533
N2 N 0.3958 0.2210 0.3521
```

Most intense lines, 10 to 90 degrees two-theta, by angle:
- 10.98 deg, I 61
- 11.38 deg, I 100
- 24.99 deg, I 25
- 25.54 deg, I 27
- 25.88 deg, I 33
- 30.60 deg, I 22
- 32.32 deg, I 22
- 32.60 deg, I 17
- 33.17 deg, I 21
- 39.21 deg, I 25

***

Record 7
This entry pairs a crystal structure of PtC4I4N with its theoretical powder diffraction line list. Radiation: Cu Ka. Structure: a PBE-relaxed structure.

Structure:
```
data_PtC4I4N
_chemical_formula_sum 'Pt8 C32 I32 N8'
_cell_length_a 13.7694
_cell_length_b 12.0783
_cell_length_c 16.3092
_cell_angle_alpha 90.00
_cell_angle_beta 90.00
_cell_angle_gamma 90.00
_space_group_name_H-M_alt 'I m a 2'
_space_group_IT_number 46
loop_
_space_group_symop_operation_xyz
'x,y,z'
'-x,-y,z'
'-x+1/2,y,z'
'x+1/2,-y,z'
'x+1/2,y+1/2,z+1/2'
'-x+1/2,-y+1/2,z+1/2'
'-x,y+1/2,z+1/2'
'x,-y+1/2,z+1/2'
loop_
_atom_site_label
_atom_site_type_symbol
_atom_site_fract_x
_atom_site_fract_y
_atom_site_fract_z
Pt1 Pt 0.2500 0.1295 0.0000
Pt2 Pt 0.2500 0.6822 0.4291
C1 C 0.0509 0.0119 0.7367
C2 C 0.0578 0.5234 0.1543
C3 C 0.0708 0.5562 0.7722
C4 C 0.1411 0.6059 0.8036
I1 I 0.0552 0.1424 0.9923
I2 I 0.2500 0.0112 0.8531
I3 I 0.2500 0.1683 0.4363
I4 I 0.2500 0.2159 0.1499
I5 I 0.2500 0.5753 0.5677
I6 I 0.2500 0.6347 0.0142
I7 I 0.2500 0.7112 0.7924
N1 N 0.0000 0.0000 0.2456
N2 N 0.0000 0.0000 0.5894
```

Most intense lines, 10 to 90 degrees two-theta, by angle:
- 10.85 deg, I 73
- 12.86 deg, I 100
- 14.61 deg, I 21
- 16.87 deg, I 24
- 25.88 deg, I 38
- 31.58 deg, I 27
- 31.86 deg, I 30
- 39.38 deg, I 19
- 41.27 deg, I 18
- 45.65 deg, I 19

***

Record 8
This entry pairs a crystal structure of Rb2PtC4I2N4 with its theoretical powder diffraction line list. Radiation: Cu Ka. Structure: a PBE-relaxed structure.

Structure:
```
data_Rb2PtC4I2N4
_chemical_formula_sum 'Rb4 Pt2 C8 I4 N8'
_cell_length_a 7.6329
_cell_length_b 9.7331
_cell_length_c 9.4027
_cell_angle_alpha 90.00
_cell_angle_beta 107.24
_cell_angle_gamma 90.00
_space_group_name_H-M_alt 'P 1 21/c 1'
_space_group_IT_number 14
loop_
_space_group_symop_operation_xyz
'x,y,z'
'-x,-y,-z'
'-x,y+1/2,-z+1/2'
'x,-y+1/2,z+1/2'
loop_
_atom_site_label
_atom_site_type_symbol
_atom_site_fract_x
_atom_site_fract_y
_atom_site_fract_z
Rb1 Rb 0.0237 0.2171 0.3826
Pt1 Pt 0.5000 0.0000 0.0000
C1 C 0.3049 0.0321 0.1018
C2 C 0.3113 0.0389 0.8032
I1 I 0.4112 0.7274 0.9712
N1 N 0.1877 0.0526 0.1563
N2 N 0.1967 0.0627 0.6919
```

Most intense lines, 10 to 90 degrees two-theta, by angle:
- 12.14 deg, I 98
- 13.42 deg, I 82
- 16.03 deg, I 80
- 19.77 deg, I 99
- 19.91 deg, I 100
- 27.80 deg, I 77
- 28.11 deg, I 64
- 29.27 deg, I 75
- 38.31 deg, I 69
- 42.29 deg, I 65

***

Record 9
This entry pairs a crystal structure of Y7C2I12N with its theoretical powder diffraction line list. Radiation: Cu Ka. Structure: a PBE-relaxed structure.

Structure:
```
data_Y7C2I12N
_chemical_formula_sum 'Y14 C4 I24 N2'
_cell_length_a 9.9399
_cell_length_b 10.6123
_cell_length_c 17.0278
_cell_angle_alpha 101.51
_cell_angle_beta 92.99
_cell_angle_gamma 112.79
_space_group_name_H-M_alt 'P -1'
_space_group_IT_number 2
loop_
_space_group_symop_operation_xyz
'x,y,z'
'-x,-y,-z'
loop_
_atom_site_label
_atom_site_type_symbol
_atom_site_fract_x
_atom_site_fract_y
_atom_site_fract_z
Y1 Y 0.0200 0.4334 0.1791
Y2 Y 0.0454 0.2524 0.6907
Y3 Y 0.1404 0.4520 0.9806
Y4 Y 0.1627 0.5443 0.3864
Y5 Y 0.2180 0.7576 0.1496
Y6 Y 0.3676 0.8839 0.3562
Y7 Y 0.4354 0.5709 0.2368
C1 C 0.1373 0.6804 0.2840
C2 C 0.2551 0.6388 0.2661
I1 I 0.0423 0.1448 0.8497
I2 I 0.0601 0.7464 0.6967
I3 I 0.1067 0.3991 0.5502
I4 I 0.1611 0.0265 0.4112
I5 I 0.2012 0.8177 0.9699
I6 I 0.2285 0.2934 0.1103
I7 I 0.2862 0.5295 0.8122
I8 I 0.3264 0.1533 0.6643
I9 I 0.3749 0.8014 0.5177
I10 I 0.4051 0.4302 0.3742
I11 I 0.4508 0.0555 0.2320
I12 I 0.4688 0.6788 0.0758
N1 N 0.0592 0.5487 0.0843
```

Most intense lines, 10 to 90 degrees two-theta, by angle:
- 24.57 deg, I 23
- 24.70 deg, I 23
- 25.15 deg, I 35
- 28.38 deg, I 57
- 29.04 deg, I 100
- 40.88 deg, I 19
- 40.98 deg, I 30
- 41.07 deg, I 16
- 41.21 deg, I 16
- 42.18 deg, I 13

***

Repeat the fourth record exactly.
This entry pairs a crystal structure of La4CI6N with its theoretical powder diffraction line list. Radiation: Cu Ka. Structure: a PBE-relaxed structure.

Structure:
```
data_La4CI6N
_chemical_formula_sum 'La16 C4 I24 N4'
_cell_length_a 14.3239
_cell_length_b 14.3239
_cell_length_c 9.8109
_cell_angle_alpha 90.00
_cell_angle_beta 90.00
_cell_angle_gamma 90.00
_space_group_name_H-M_alt 'P 42/m n m'
_space_group_IT_number 136
_space_group_name_Hall '-P 4n 2n'
loop_
_atom_site_label
_atom_site_type_symbol
_atom_site_fract_x
_atom_site_fract_y
_atom_site_fract_z
La1 La 0.0886 0.0886 0.1949
La2 La 0.0901 0.9099 0.5000
La3 La 0.1523 0.8477 0.0000
C1 C 0.0351 0.9649 0.0000
I1 I 0.0503 0.7370 0.2496
I2 I 0.1729 0.1729 0.5000
I3 I 0.2195 0.2195 0.0000
N1 N 0.0000 0.0000 0.3496
```

Most intense lines, 10 to 90 degrees two-theta, by angle:
- 25.28 deg, I 65
- 25.64 deg, I 22
- 28.92 deg, I 100
- 29.33 deg, I 27
- 31.22 deg, I 18
- 33.17 deg, I 19
- 36.32 deg, I 18
- 36.63 deg, I 25
- 42.09 deg, I 17
- 42.59 deg, I 20